1.
Diffraction record for KAcP2Pd5. The powder X-ray diffraction pattern is simulated, not measured: it uses the PBE geometry in Alexandria and CuKα.
Lines closer than 0.1° are merged.

Structure:
```
data_KAcP2Pd5
_chemical_formula_sum 'K1 Ac1 P2 Pd5'
_cell_length_a 4.337
_cell_length_b 4.337
_cell_length_c 10.249
_cell_angle_alpha 90.00
_cell_angle_beta 90.00
_cell_angle_gamma 90.00
_space_group_name_H-M_alt 'P 4/m m m'
_space_group_IT_number 123
_space_group_name_Hall '-P 4 2'
loop_
_atom_site_label
_atom_site_fract_x
_atom_site_fract_y
_atom_site_fract_z
K1 0.000 0.000 0.000
Ac1 0.000 0.000 0.500
P1 0.500 0.500 0.192
Pd1 0.000 0.500 0.286
Pd2 0.500 0.500 0.500
```

The 10 most intense peaks (2θ from 15° to 90°), in order of rising 2θ:
3.311 Å, I 144
2.632 Å, I 1000
2.562 Å, I 189
2.282 Å, I 496
2.169 Å, I 418
2.122 Å, I 142
1.655 Å, I 198
1.533 Å, I 137
1.325 Å, I 230
1.273 Å, I 154

2.
Diffraction record for KAc2PaSe5. The powder X-ray diffraction pattern is simulated, not measured: it uses the PBE geometry in Alexandria and CuKα.
Lines closer than 0.1° are merged.

Structure:
```
data_KAc2PaSe5
_chemical_formula_sum 'K2 Ac4 Pa2 Se10'
_cell_length_a 5.373
_cell_length_b 7.753
_cell_length_c 15.127
_cell_angle_alpha 90.00
_cell_angle_beta 90.00
_cell_angle_gamma 90.00
_space_group_name_H-M_alt 'I m m m'
_space_group_IT_number 71
_space_group_name_Hall '-I 2 2'
loop_
_atom_site_label
_atom_site_fract_x
_atom_site_fract_y
_atom_site_fract_z
K1 0.000 0.000 0.000
Ac1 0.000 0.500 0.203
Pa1 0.000 0.000 0.500
Se1 0.000 0.238 0.355
Se2 0.000 0.500 0.000
```

The 10 most intense peaks (2θ from 15° to 90°), in order of rising 2θ:
3.876 Å, I 190
3.814 Å, I 1000
2.818 Å, I 381
2.707 Å, I 435
2.687 Å, I 420
2.668 Å, I 731
2.226 Å, I 264
2.005 Å, I 196
1.945 Å, I 269
1.907 Å, I 312

Which formula does entry 2 have? KAc2PaSe5